Starting from a DFT-relaxed cell (PBE, Alexandria), the powder X-ray diffraction pattern of LaGaIr2 was calculated for Cu Kα X-rays.
Peak positions follow from Bragg's law for the DFT cell and can differ from measured ones.

Principal peaks in the range 2θ from 5° to 70°, in order of rising 2θ:
2θ/deg, d_spacing, Rel. int.
27.2, 3.281, 345
32.2, 2.779, 1000
35.0, 2.561, 528
36.0, 2.496, 485
44.2, 2.048, 642
48.5, 1.875, 438

Atomic structure:
a b c (Å): 4.0961 4.0961 9.8428
angles (deg): 90.00 90.00 90.00
Fractional positions:
La  0.2500  0.2500  0.1966
La  0.7500  0.7500  0.8034
Ga  0.2500  0.2500  0.6448
Ga  0.7500  0.7500  0.3552
Ir  0.2500  0.2500  0.8932
Ir  0.2500  0.7500  0.5000
Ir  0.7500  0.2500  0.5000
Ir  0.7500  0.7500  0.1068

Starting from a DFT-relaxed cell (PBE, Alexandria), the powder X-ray diffraction pattern of La2Ga3NiIr4 was calculated for Cu Kα X-rays.
Peak positions follow from Bragg's law for the DFT cell and can differ from measured ones.

Principal peaks in the range 2θ from 5° to 70°, in order of rising 2θ:
2θ/deg, d_spacing, Rel. int.
30.9, 2.891, 280
33.3, 2.688, 550
34.4, 2.605, 1000
42.5, 2.128, 683
46.1, 1.967, 388
48.7, 1.869, 266

Atomic structure:
a b c (Å): 4.2561 4.2561 10.3986
angles (deg): 90.00 90.00 90.00
Fractional positions:
La  0.0000  0.5000  0.2505
La  0.5000  0.0000  0.7495
Ga  0.0000  0.0000  0.0000
Ga  0.0000  0.5000  0.6273
Ga  0.5000  0.0000  0.3727
Ni  0.5000  0.5000  0.0000
Ir  0.0000  0.0000  0.5000
Ir  0.0000  0.5000  0.8673
Ir  0.5000  0.0000  0.1327
Ir  0.5000  0.5000  0.5000

Starting from a DFT-relaxed cell (PBE, Alexandria), the powder X-ray diffraction pattern of LaGa2IrRh was calculated for Cu Kα X-rays.
Peak positions follow from Bragg's law for the DFT cell and can differ from measured ones.

Principal peaks in the range 2θ from 5° to 70°, in order of rising 2θ:
2θ/deg, d_spacing, Rel. int.
17.4, 5.100, 199
33.5, 2.674, 401
34.2, 2.625, 1000
41.7, 2.165, 535
46.3, 1.959, 219
54.5, 1.683, 199

Atomic structure:
a b c (Å): 5.9485 5.9485 5.9485
angles (deg): 137.32 137.32 61.95
Fractional positions:
La  0.0000  0.0000  0.0000
Ga  0.3711  0.3711  0.0000
Ga  0.6289  0.6289  0.0000
Ir  0.2500  0.7500  0.5000
Rh  0.7500  0.2500  0.5000

Starting from a DFT-relaxed cell (PBE, Alexandria), the powder X-ray diffraction pattern of LaZn2GaIr was calculated for Cu Kα X-rays.
Peak positions follow from Bragg's law for the DFT cell and can differ from measured ones.

Principal peaks in the range 2θ from 5° to 70°, in order of rising 2θ:
2θ/deg, d_spacing, Rel. int.
33.8, 2.653, 1000
34.0, 2.640, 362
39.9, 2.261, 308
41.5, 2.175, 275
46.6, 1.950, 197
53.4, 1.717, 199

Atomic structure:
a b c (Å): 5.8875 5.8875 5.8875
angles (deg): 136.63 134.83 64.41
Fractional positions:
La  0.0000  0.0000  0.0000
Zn  0.3636  0.3636  0.0000
Zn  0.7502  0.2502  0.5000
Ga  0.6168  0.6168  0.0000
Ir  0.2256  0.7256  0.5000

Starting from a DFT-relaxed cell (PBE, Alexandria), the powder X-ray diffraction pattern of Li2Ga8Ir was calculated for Cu Kα X-rays.
Peak positions follow from Bragg's law for the DFT cell and can differ from measured ones.

Principal peaks in the range 2θ from 5° to 70°, in order of rising 2θ:
2θ/deg, d_spacing, Rel. int.
10.5, 8.407, 1000
16.1, 5.506, 758
30.4, 2.938, 643
40.4, 2.230, 454
44.3, 2.046, 505
44.5, 2.037, 520

Atomic structure:
a b c (Å): 8.7265 8.7265 5.5558
angles (deg): 97.50 97.50 27.12
Fractional positions:
Li  0.2037  0.2037  0.1011
Li  0.7963  0.7963  0.8989
Ga  0.0077  0.0077  0.2314
Ga  0.2041  0.2041  0.6006
Ga  0.3710  0.3710  0.6957
Ga  0.3760  0.3760  0.1812
Ga  0.6240  0.6240  0.8188
Ga  0.6290  0.6290  0.3043
Ga  0.7959  0.7959  0.3994
Ga  0.9923  0.9923  0.7686
Ir  0.5000  0.5000  0.5000

Starting from a DFT-relaxed cell (PBE, Alexandria), the powder X-ray diffraction pattern of Li5Ga5Ir2 was calculated for Cu Kα X-rays.
Peak positions follow from Bragg's law for the DFT cell and can differ from measured ones.

Principal peaks in the range 2θ from 5° to 70°, in order of rising 2θ:
2θ/deg, d_spacing, Rel. int.
15.5, 5.726, 518
23.6, 3.762, 1000
24.1, 3.696, 687
41.3, 2.187, 651
41.4, 2.182, 324
43.9, 2.062, 276

Atomic structure:
a b c (Å): 4.3645 4.3727 11.7144
angles (deg): 89.68 79.33 60.10
Fractional positions:
Li  0.0000  0.0000  0.0000
Li  0.4094  0.7925  0.3904
Li  0.4432  0.2796  0.8327
Li  0.5568  0.7204  0.1673
Li  0.5906  0.2075  0.6096
Ga  0.0000  0.5000  0.5000
Ga  0.1860  0.9108  0.7157
Ga  0.2902  0.3548  0.0655
Ga  0.7098  0.6452  0.9345
Ga  0.8140  0.0892  0.2843
Ir  0.1436  0.4248  0.2899
Ir  0.8564  0.5752  0.7101

Starting from a DFT-relaxed cell (PBE, Alexandria), the powder X-ray diffraction pattern of Li5Ga4Ir2 was calculated for Cu Kα X-rays.
Peak positions follow from Bragg's law for the DFT cell and can differ from measured ones.

Principal peaks in the range 2θ from 5° to 70°, in order of rising 2θ:
2θ/deg, d_spacing, Rel. int.
11.6, 7.657, 596
20.4, 4.359, 477
22.2, 4.005, 532
23.2, 3.829, 1000
35.6, 2.523, 440
39.6, 2.277, 592

Atomic structure:
a b c (Å): 9.2139 9.2139 9.2139
angles (deg): 163.55 123.53 59.24
Fractional positions:
Li  0.0000  0.0000  0.0000
Li  0.0833  0.3275  0.7558
Li  0.4283  0.6725  0.7558
Li  0.5717  0.3275  0.2442
Li  0.9167  0.6725  0.2442
Ga  0.2714  0.5000  0.7714
Ga  0.4107  0.9107  0.5000
Ga  0.5893  0.0893  0.5000
Ga  0.7286  0.5000  0.2286
Ir  0.2553  0.7553  0.5000
Ir  0.7447  0.2447  0.5000

Starting from a DFT-relaxed cell (PBE, Alexandria), the powder X-ray diffraction pattern of LiGa4Ir5 was calculated for Cu Kα X-rays.
Peak positions follow from Bragg's law for the DFT cell and can differ from measured ones.

Principal peaks in the range 2θ from 5° to 70°, in order of rising 2θ:
2θ/deg, d_spacing, Rel. int.
29.4, 3.042, 368
29.8, 2.999, 181
42.0, 2.151, 529
42.3, 2.136, 1000
52.3, 1.748, 158
60.9, 1.521, 177

Atomic structure:
a b c (Å): 3.0420 3.0420 14.9933
angles (deg): 90.00 90.00 90.00
Fractional positions:
Li  0.0000  0.0000  0.0000
Ga  0.0000  0.0000  0.1865
Ga  0.0000  0.0000  0.3958
Ga  0.0000  0.0000  0.6042
Ga  0.0000  0.0000  0.8135
Ir  0.5000  0.5000  0.0945
Ir  0.5000  0.5000  0.2971
Ir  0.5000  0.5000  0.5000
Ir  0.5000  0.5000  0.7029
Ir  0.5000  0.5000  0.9055

Starting from a DFT-relaxed cell (PBE, Alexandria), the powder X-ray diffraction pattern of Li3GaIr was calculated for Cu Kα X-rays.
Peak positions follow from Bragg's law for the DFT cell and can differ from measured ones.

Principal peaks in the range 2θ from 5° to 70°, in order of rising 2θ:
2θ/deg, d_spacing, Rel. int.
18.8, 4.709, 990
19.6, 4.539, 1000
25.4, 3.500, 322
38.1, 2.362, 295
43.2, 2.094, 297
43.3, 2.089, 290

Atomic structure:
a b c (Å): 5.3444 5.3444 6.5848
angles (deg): 96.60 96.60 116.27
Fractional positions:
Li  0.0635  0.5600  0.2979
Li  0.0745  0.0745  0.3378
Li  0.4400  0.9365  0.7021
Li  0.5600  0.0635  0.2979
Li  0.9255  0.9255  0.6622
Li  0.9365  0.4400  0.7021
Ga  0.2649  0.2649  0.9961
Ga  0.7351  0.7351  0.0039
Ir  0.4321  0.4321  0.6701
Ir  0.5679  0.5679  0.3299

Starting from a DFT-relaxed cell (PBE, Alexandria), the powder X-ray diffraction pattern of LiNd2Ga4Ir3 was calculated for Cu Kα X-rays.
Peak positions follow from Bragg's law for the DFT cell and can differ from measured ones.

Principal peaks in the range 2θ from 5° to 70°, in order of rising 2θ:
2θ/deg, d_spacing, Rel. int.
29.1, 3.074, 388
33.7, 2.658, 1000
34.2, 2.624, 991
41.6, 2.173, 886
49.9, 1.828, 416
54.5, 1.682, 510

Atomic structure:
a b c (Å): 4.3467 4.3467 10.0752
angles (deg): 90.00 90.00 90.00
Fractional positions:
Li  0.0000  0.0000  0.0000
Nd  0.0000  0.5000  0.7483
Nd  0.5000  0.0000  0.2517
Ga  0.0000  0.0000  0.5000
Ga  0.0000  0.5000  0.1218
Ga  0.5000  0.0000  0.8782
Ga  0.5000  0.5000  0.5000
Ir  0.0000  0.5000  0.3674
Ir  0.5000  0.0000  0.6326
Ir  0.5000  0.5000  0.0000

Starting from a DFT-relaxed cell (PBE, Alexandria), the powder X-ray diffraction pattern of Li2Ga5Ir2Pd was calculated for Cu Kα X-rays.
Peak positions follow from Bragg's law for the DFT cell and can differ from measured ones.

Principal peaks in the range 2θ from 5° to 70°, in order of rising 2θ:
2θ/deg, d_spacing, Rel. int.
21.4, 4.144, 1000
32.0, 2.797, 236
38.8, 2.318, 962
42.5, 2.127, 581
53.2, 1.723, 265
56.1, 1.639, 213

Atomic structure:
a b c (Å): 9.2673 9.2673 3.7902
angles (deg): 90.00 90.00 90.00
Fractional positions:
Li  0.1720  0.3280  0.0000
Li  0.3280  0.8280  0.0000
Li  0.6720  0.1720  0.0000
Li  0.8280  0.6720  0.0000
Ga  0.0000  0.5000  0.5000
Ga  0.0751  0.8028  0.5000
Ga  0.1972  0.0751  0.5000
Ga  0.3028  0.5751  0.5000
Ga  0.4249  0.3028  0.5000
Ga  0.5000  0.0000  0.5000
Ga  0.5751  0.6972  0.5000
Ga  0.6972  0.4249  0.5000
Ga  0.8028  0.9249  0.5000
Ga  0.9249  0.1972  0.5000
Ir  0.1237  0.6237  0.0000
Ir  0.3763  0.1237  0.0000
Ir  0.6237  0.8763  0.0000
Ir  0.8763  0.3763  0.0000
Pd  0.0000  0.0000  0.0000
Pd  0.5000  0.5000  0.0000

Starting from a DFT-relaxed cell (PBE, Alexandria), the powder X-ray diffraction pattern of Li2PrGa4Ir was calculated for Cu Kα X-rays.
Peak positions follow from Bragg's law for the DFT cell and can differ from measured ones.

Principal peaks in the range 2θ from 5° to 70°, in order of rising 2θ:
2θ/deg, d_spacing, Rel. int.
9.7, 9.108, 348
19.5, 4.554, 199
25.0, 3.566, 1000
35.8, 2.508, 702
41.1, 2.197, 374
42.4, 2.133, 737

Atomic structure:
a b c (Å): 9.4352 9.4352 9.4352
angles (deg): 26.13 26.13 26.13
Fractional positions:
Li  0.2281  0.2281  0.2281
Li  0.7719  0.7719  0.7719
Pr  0.0000  0.0000  0.0000
Ga  0.1290  0.1290  0.1290
Ga  0.4049  0.4049  0.4049
Ga  0.5951  0.5951  0.5951
Ga  0.8710  0.8710  0.8710
Ir  0.5000  0.5000  0.5000